Record 1
For MnCrSb, a crystal structure in Alexandria, relaxed with PBE gives the simulated PXRD pattern in this record (Cu Kα (λ = 1.5418 Å)).
No peak broadening, texture or thermal motion is included.

Cell and atoms:
Cell lengths 3.945, 3.947, 7.738 Å; angles 89.26, 89.75, 60.05 degrees
Space group P-1 (No. 2)
Inequivalent atoms, fractional coordinates:
Mn1 0.001 0.497 0.144 [2 per cell]
Cr1 0.334 0.832 0.068 [2 per cell]
Sb1 0.331 0.843 0.687 [2 per cell]

Most intense lines, 2θ from 5° to 70°, in order of rising 2θ:
2θ (°)  d [Å]  intensity  (hkl)
11.44  7.737  343  0 0 1
28.41  3.142  354  0 1 1
28.57  3.125  340  1 0 1
28.67  3.114  323  1 1 -1
34.83  2.576  400  1 1 2
35.02  2.562  341  1 0 -2
35.23  2.547  352  0 1 -2
43.70  2.072  307  0 1 3
44.04  2.056  282  1 0 3
45.99  1.973  1000  2 1 0


Record 2
For Li2SnP2O7, a crystal structure in Alexandria, relaxed with PBE gives the simulated PXRD pattern in this record (Cu Kα (λ = 1.5418 Å)).
No peak broadening, texture or thermal motion is included.

Cell and atoms:
Cell lengths 15.821, 5.246, 9.430 Å; angles 90.00, 116.06, 90.00 degrees
Space group C2/c (No. 15)
Inequivalent atoms, fractional coordinates:
Li1 0.197 0.149 0.059 [8 per cell]
Sn1 0.000 0.000 0.000 [4 per cell]
P1 0.109 0.373 0.319 [8 per cell]
O1 0.000 0.486 0.250 [4 per cell]
O2 0.117 0.162 0.439 [8 per cell]
O3 0.121 0.262 0.177 [8 per cell]
O4 0.171 0.397 0.890 [8 per cell]

Most intense lines, 2θ from 5° to 70°, in order of rising 2θ:
2θ (°)  d [Å]  intensity  (hkl)
12.46  7.107  970  2 0 0
18.02  4.922  222  1 1 0
19.43  4.568  160  1 1 -1
24.63  3.614  244  4 0 -2
25.33  3.516  433  3 1 0
25.57  3.483  1000  1 1 -2
27.17  3.282  330  3 1 -2
28.89  3.090  198  2 0 2
29.85  2.993  261  1 1 2
42.85  2.110  182  4 2 0


Record 3
For DyAl3Zn2, a crystal structure in Alexandria, relaxed with PBE gives the simulated PXRD pattern in this record (Cu Kα (λ = 1.5418 Å)).
No peak broadening, texture or thermal motion is included.

Cell and atoms:
Cell lengths 15.587, 4.324, 6.754 Å; angles 90.00, 106.24, 90.00 degrees
Space group C2/m (No. 12)
Inequivalent atoms, fractional coordinates:
Dy1 0.117 0.000 0.184 [4 per cell]
Al1 0.067 0.000 0.684 [4 per cell]
Al2 0.121 0.500 0.503 [4 per cell]
Al3 0.198 0.500 0.924 [4 per cell]
Zn1 0.025 0.500 0.840 [4 per cell]
Zn2 0.236 0.000 0.657 [4 per cell]

Most intense lines, 2θ from 5° to 70°, in order of rising 2θ:
2θ (°)  d [Å]  intensity  (hkl)
15.38  5.763  752  2 0 -1
27.29  3.267  316  3 1 0
28.24  3.160  215  3 1 -1
32.88  2.724  681  3 1 1
35.24  2.547  364  3 1 -2
35.94  2.499  618  5 1 -1
36.47  2.464  1000  1 1 2
40.61  2.222  220  5 1 -2
41.78  2.162  532  0 2 0
42.31  2.136  274  6 0 1